For Tm2Mg15Sc2, a structure optimized by DFT (GGA-PBE) gives the theoretical X-ray powder pattern in this record (copper Kα).

The 10 most intense peaks (2θ from 15° to 90°), low angle first:
2θ (°)  I (rel.)  hkl
15.32  22.6  0 1 2
17.28  48.9  1 1 0
24.67  51.9  1 1 3
29.06  17.4  1 2 2
30.17  39.7  3 0 0
31.03  14.2  0 1 5
35.03  100.0  2 2 0
35.72  30.0  2 0 5
39.95  17.0  1 2 5
50.37  18.1  4 1 3

Cell and atoms:
```
data_Tm2Mg15Sc2
_cell_length_a 10.2613
_cell_length_b 10.2613
_cell_length_c 15.2346
_cell_angle_alpha 90.00
_cell_angle_beta 90.00
_cell_angle_gamma 120.00
_symmetry_space_group_name_H-M 'R -3 m'
_symmetry_Int_Tables_number 166
_symmetry_space_group_name_Hall '-R 3 2"'
loop_
_atom_site_label
_atom_site_type_symbol
_atom_site_fract_x
_atom_site_fract_y
_atom_site_fract_z
_atom_site_occupancy
Tm1 Tm 0.0000 0.0000 0.1778 1
Mg1 Mg 0.0000 0.2972 0.5000 1
Mg2 Mg 0.0000 0.5000 0.0000 1
Mg3 Mg 0.0057 0.5028 0.6464 1
Sc1 Sc 0.0000 0.0000 0.4012 1
```

***

For Y2Tm4MgSc, a structure optimized by DFT (GGA-PBE) gives the theoretical X-ray powder pattern in this record (copper Kα).

The 10 most intense peaks (2θ from 15° to 90°), low angle first:
2θ (°)  I (rel.)  hkl
18.08  19.3  0 0 2
25.84  17.1  1 1 0
31.72  100.0  1 1 2
36.63  16.8  0 0 4
36.86  33.4  2 0 0
52.95  23.3  2 0 4
53.12  11.6  2 2 0
62.89  13.6  1 1 6
63.20  27.3  3 1 2
66.26  11.8  2 2 4

Cell and atoms:
```
data_Y2Tm4MgSc
_cell_length_a 4.8767
_cell_length_b 4.8767
_cell_length_c 9.8130
_cell_angle_alpha 90.00
_cell_angle_beta 90.00
_cell_angle_gamma 90.00
_symmetry_space_group_name_H-M 'P 4/m m m'
_symmetry_Int_Tables_number 123
_symmetry_space_group_name_Hall '-P 4 2'
loop_
_atom_site_label
_atom_site_type_symbol
_atom_site_fract_x
_atom_site_fract_y
_atom_site_fract_z
_atom_site_occupancy
Y1 Y 0.0000 0.0000 0.0000 1
Y2 Y 0.5000 0.5000 0.5000 1
Tm1 Tm 0.0000 0.5000 0.2457 1
Mg1 Mg 0.0000 0.0000 0.5000 1
Sc1 Sc 0.5000 0.5000 0.0000 1
```

***

For MgSc2V2, a structure optimized by DFT (GGA-PBE) gives the theoretical X-ray powder pattern in this record (copper Kα).

The 10 most intense peaks (2θ from 15° to 90°), low angle first:
2θ (°)  I (rel.)  hkl
16.06  59.7  1 1 0
32.44  35.1  2 2 0
35.66  100.0  2 0 1
36.40  14.2  3 1 0
37.53  78.6  2 1 1
41.72  44.0  3 2 0
48.06  29.1  4 1 0
66.24  22.7  4 3 1
67.46  22.6  5 1 1
72.02  14.8  3 2 2

Cell and atoms:
```
data_MgSc2V2
_cell_length_a 7.8060
_cell_length_b 7.8060
_cell_length_c 3.2955
_cell_angle_alpha 90.00
_cell_angle_beta 90.00
_cell_angle_gamma 90.00
_symmetry_space_group_name_H-M 'P 4/m b m'
_symmetry_Int_Tables_number 127
_symmetry_space_group_name_Hall '-P 4 2ab'
loop_
_atom_site_label
_atom_site_type_symbol
_atom_site_fract_x
_atom_site_fract_y
_atom_site_fract_z
_atom_site_occupancy
Mg1 Mg 0.0000 0.0000 0.0000 1
Sc1 Sc 0.2004 0.2996 0.5000 1
V1 V 0.0881 0.5881 0.0000 1
```

***

For Y3Mg3Sc2, a structure optimized by DFT (GGA-PBE) gives the theoretical X-ray powder pattern in this record (copper Kα).

The 10 most intense peaks (2θ from 15° to 90°), low angle first:
2θ (°)  I (rel.)  hkl
20.60  20.2  0 1 3
24.68  15.9  1 0 1
26.33  15.7  0 1 5
32.79  25.4  0 0 8
33.49  26.6  0 2 0
33.92  100.0  1 1 4
47.57  17.1  0 2 8
59.25  15.6  1 1 12
60.15  17.8  1 3 4
71.38  9.6  2 2 8

Cell and atoms:
```
data_Y3Mg3Sc2
_cell_length_a 3.6581
_cell_length_b 5.3510
_cell_length_c 21.8517
_cell_angle_alpha 90.00
_cell_angle_beta 90.00
_cell_angle_gamma 90.00
_symmetry_space_group_name_H-M 'I m m m'
_symmetry_Int_Tables_number 71
_symmetry_space_group_name_Hall '-I 2 2'
loop_
_atom_site_label
_atom_site_type_symbol
_atom_site_fract_x
_atom_site_fract_y
_atom_site_fract_z
_atom_site_occupancy
Y1 Y 0.0000 0.0000 0.0000 1
Y2 Y 0.0000 0.5000 0.1290 1
Mg1 Mg 0.0000 0.0000 0.5000 1
Mg2 Mg 0.0000 0.5000 0.3777 1
Sc1 Sc 0.0000 0.0000 0.2368 1
```